No. 1
Diffraction record for DySnBr2N. The powder X-ray diffraction pattern is simulated, not measured: it uses a PBE-relaxed structure and Cu Ka.

Principal peaks in the range 2θ from 10° to 90°, low angle first:
- 27.42 deg, d 3.252, I 262
- 32.40 deg, d 2.763, I 1000
- 37.79 deg, d 2.380, I 179
- 44.40 deg, d 2.040, I 190
- 48.48 deg, d 1.878, I 258
- 59.52 deg, d 1.553, I 175
- 60.68 deg, d 1.526, I 122
- 80.21 deg, d 1.197, I 152

Atomic structure:
Cell: 3.7554 3.7554 10.4794 Å, 90.00 90.00 120.00°
Fractional coordinates of all 5 atoms:
1 Dy 0.0000 0.0000 0.0000
2 Sn 0.6667 0.3333 0.7374
3 Br 0.0000 0.0000 0.5442
4 Br 0.6667 0.3333 0.1869
5 N 0.3333 0.6667 0.9081

---

No. 2
Diffraction record for Hg2Te2PbF2. The powder X-ray diffraction pattern is simulated, not measured: it uses a PBE-relaxed structure and Cu Ka.

Principal peaks in the range 2θ from 10° to 90°, low angle first:
- 23.45 deg, d 3.793, I 307
- 28.27 deg, d 3.156, I 1000
- 32.11 deg, d 2.787, I 408
- 34.96 deg, d 2.566, I 407
- 35.87 deg, d 2.503, I 817
- 44.07 deg, d 2.055, I 503
- 51.41 deg, d 1.778, I 324
- 53.19 deg, d 1.722, I 356

Atomic structure:
Cell: 4.1097 4.1097 9.8573 Å, 90.00 90.00 90.00°
Fractional coordinates of all 7 atoms:
1 Hg 0.0000 0.5000 0.1493
2 Hg 0.5000 0.0000 0.8507
3 Te 0.0000 0.5000 0.7292
4 Te 0.5000 0.0000 0.2708
5 Pb 0.5000 0.5000 0.5000
6 F 0.0000 0.0000 0.0000
7 F 0.5000 0.5000 0.0000

---

No. 3
Diffraction record for LiErTe3Pd. The powder X-ray diffraction pattern is simulated, not measured: it uses a PBE-relaxed structure and Cu Ka.

Principal peaks in the range 2θ from 10° to 90°, low angle first:
- 11.40 deg, d 7.764, I 1000
- 23.76 deg, d 3.746, I 354
- 28.86 deg, d 3.094, I 228
- 29.16 deg, d 3.062, I 494
- 32.84 deg, d 2.727, I 995
- 40.42 deg, d 2.231, I 545
- 43.25 deg, d 2.092, I 254
- 53.01 deg, d 1.727, I 184

Atomic structure:
Cell: 8.0413 8.0413 9.9960 Å, 90.00 90.00 149.84°
Fractional coordinates of all 12 atoms:
1 Li 0.2308 0.7692 0.7500
2 Li 0.7692 0.2308 0.2500
3 Er 0.0000 0.0000 0.0000
4 Er 0.0000 0.0000 0.5000
5 Te 0.1154 0.8846 0.2500
6 Te 0.3653 0.6347 0.0872
7 Te 0.3653 0.6347 0.4128
8 Te 0.6347 0.3653 0.5872
9 Te 0.6347 0.3653 0.9128
10 Te 0.8846 0.1154 0.7500
11 Pd 0.4987 0.5013 0.7500
12 Pd 0.5013 0.4987 0.2500

---

No. 4
Diffraction record for Cs2TlHgBr6. The powder X-ray diffraction pattern is simulated, not measured: it uses a PBE-relaxed structure and Cu Ka.

Principal peaks in the range 2θ from 10° to 90°, low angle first:
- 15.52 deg, d 5.709, I 366
- 22.02 deg, d 4.037, I 876
- 31.33 deg, d 2.855, I 1000
- 38.63 deg, d 2.331, I 420
- 44.90 deg, d 2.019, I 733
- 55.78 deg, d 1.648, I 256
- 74.29 deg, d 1.277, I 331
- 82.83 deg, d 1.165, I 252

Atomic structure:
Cell: 8.0745 8.0745 8.0745 Å, 60.00 60.00 60.00°
Fractional coordinates of all 10 atoms:
1 Cs 0.2500 0.2500 0.2500
2 Cs 0.7500 0.7500 0.7500
3 Tl 0.0000 0.0000 0.0000
4 Hg 0.5000 0.5000 0.5000
5 Br 0.2536 0.2536 0.7464
6 Br 0.2536 0.7464 0.2536
7 Br 0.2536 0.7464 0.7464
8 Br 0.7464 0.2536 0.2536
9 Br 0.7464 0.2536 0.7464
10 Br 0.7464 0.7464 0.2536

---

No. 5
Diffraction record for Ba3InHg10. The powder X-ray diffraction pattern is simulated, not measured: it uses a PBE-relaxed structure and Cu Ka.

Principal peaks in the range 2θ from 10° to 90°, low angle first:
- 30.02 deg, d 2.976, I 1000
- 30.13 deg, d 2.966, I 413
- 31.36 deg, d 2.853, I 410
- 33.51 deg, d 2.674, I 544
- 34.07 deg, d 2.632, I 822
- 35.08 deg, d 2.558, I 457
- 39.36 deg, d 2.289, I 564
- 49.70 deg, d 1.834, I 348

Atomic structure:
Cell: 9.5783 9.5783 9.5783 Å, 148.10 115.77 73.51°
Fractional coordinates of all 14 atoms:
1 Ba 0.0000 0.0000 0.0000
2 Ba 0.2979 0.2979 0.0000
3 Ba 0.7021 0.7021 0.0000
4 In 0.5000 0.0000 0.5000
5 Hg 0.0175 0.6603 0.3572
6 Hg 0.1457 0.8588 0.2869
7 Hg 0.3031 0.6603 0.6428
8 Hg 0.3184 0.5000 0.8184
9 Hg 0.4281 0.1412 0.2869
10 Hg 0.5719 0.8588 0.7131
11 Hg 0.6816 0.5000 0.1816
12 Hg 0.6969 0.3397 0.3572
13 Hg 0.8543 0.1412 0.7131
14 Hg 0.9825 0.3397 0.6428

---

No. 6
Diffraction record for Ba2TeIr. The powder X-ray diffraction pattern is simulated, not measured: it uses a PBE-relaxed structure and Cu Ka.

Principal peaks in the range 2θ from 10° to 90°, low angle first:
- 26.53 deg, d 3.359, I 715
- 26.81 deg, d 3.325, I 1000
- 28.04 deg, d 3.182, I 328
- 34.61 deg, d 2.591, I 348
- 35.08 deg, d 2.558, I 377
- 36.15 deg, d 2.485, I 422
- 37.82 deg, d 2.379, I 460
- 38.04 deg, d 2.365, I 379

Atomic structure:
Cell: 6.7792 4.7580 9.5422 Å, 90.00 102.97 90.00°
Fractional coordinates of all 8 atoms:
1 Ba 0.1715 0.2500 0.1495
2 Ba 0.3100 0.2500 0.6840
3 Ba 0.6900 0.7500 0.3160
4 Ba 0.8285 0.7500 0.8505
5 Te 0.2181 0.7500 0.4072
6 Te 0.7819 0.2500 0.5928
7 Ir 0.4469 0.7500 0.9813
8 Ir 0.5531 0.2500 0.0187

---

No. 7
Diffraction record for CsMg2Fe2As3. The powder X-ray diffraction pattern is simulated, not measured: it uses a PBE-relaxed structure and Cu Ka.

Principal peaks in the range 2θ from 10° to 90°, low angle first:
- 26.89 deg, d 3.316, I 1000
- 29.92 deg, d 2.986, I 108
- 31.09 deg, d 2.877, I 175
- 42.82 deg, d 2.112, I 308
- 45.50 deg, d 1.994, I 391
- 51.29 deg, d 1.781, I 327
- 68.94 deg, d 1.362, I 104
- 80.34 deg, d 1.195, I 142

Atomic structure:
Cell: 4.2234 4.2234 10.7104 Å, 90.00 90.00 90.00°
Fractional coordinates of all 8 atoms:
1 Cs 0.0000 0.0000 0.0000
2 Mg 0.0000 0.5000 0.6455
3 Mg 0.5000 0.0000 0.3545
4 Fe 0.0000 0.5000 0.3496
5 Fe 0.5000 0.0000 0.6504
6 As 0.0000 0.0000 0.5000
7 As 0.5000 0.5000 0.2215
8 As 0.5000 0.5000 0.7785

---

No. 8
Diffraction record for TbPrCu2Sb4. The powder X-ray diffraction pattern is simulated, not measured: it uses a PBE-relaxed structure and Cu Ka.

Principal peaks in the range 2θ from 10° to 90°, low angle first:
- 27.16 deg, d 3.284, I 150
- 33.85 deg, d 2.648, I 209
- 34.21 deg, d 2.621, I 1000
- 41.51 deg, d 2.175, I 417
- 50.16 deg, d 1.819, I 162
- 60.17 deg, d 1.538, I 153
- 67.06 deg, d 1.396, I 163
- 71.06 deg, d 1.327, I 229

Atomic structure:
Cell: 4.3505 4.3505 10.0109 Å, 90.00 90.00 90.00°
Fractional coordinates of all 8 atoms:
1 Tb 0.0000 0.0000 0.0000
2 Pr 0.5000 0.5000 0.4984
3 Cu 0.0000 0.5000 0.2440
4 Cu 0.5000 0.0000 0.2440
5 Sb 0.0000 0.0000 0.4002
6 Sb 0.0000 0.5000 0.7551
7 Sb 0.5000 0.0000 0.7551
8 Sb 0.5000 0.5000 0.0884